Record 1
# CaCeRh3
Theoretical X-ray diffraction stick pattern, copper Kα. Input: a DFT-relaxed cell (PBE, Alexandria).

Crystal structure
```
data_CaCeRh3
_symmetry_space_group_name_H-M 'P 1'
_symmetry_Int_Tables_number 1
_cell_length_a 8.491
_cell_length_b 5.577
_cell_length_c 10.364
_cell_angle_alpha 90.00
_cell_angle_beta 126.99
_cell_angle_gamma 90.00
loop_
_symmetry_equiv_pos_as_xyz
'x,y,z'
loop_
_atom_site_label
_atom_site_fract_x
_atom_site_fract_y
_atom_site_fract_z
Ca1 0.131 0.235 0.052
Ca2 0.131 0.265 0.552
Ca3 0.869 0.735 0.448
Ca4 0.869 0.765 0.948
Ce1 0.373 0.695 0.308
Ce2 0.373 0.805 0.808
Ce3 0.627 0.195 0.192
Ce4 0.627 0.305 0.692
Rh1 0.025 0.003 0.758
Rh2 0.025 0.497 0.258
Rh3 0.288 0.719 0.043
Rh4 0.288 0.781 0.543
Rh5 0.349 0.181 0.407
Rh6 0.349 0.319 0.907
Rh7 0.651 0.681 0.093
Rh8 0.651 0.819 0.593
Rh9 0.712 0.219 0.457
Rh10 0.712 0.281 0.957
Rh11 0.975 0.503 0.742
Rh12 0.975 0.997 0.242
```

Top 12 peaks for 2θ from 15° to 90°, in order of rising 2θ:
d (Å)	I/Imax
5.182	92
3.302	61
2.824	58
2.789	51
2.579	85
2.519	100
2.429	66
2.313	76
2.261	70
2.227	98
2.214	86
2.080	70



Record 2
# K4Er3SnS8
Theoretical X-ray diffraction stick pattern, copper Kα. Input: a DFT-relaxed cell (PBE, Alexandria).

Crystal structure
```
data_K4Er3SnS8
_symmetry_space_group_name_H-M 'P 1'
_symmetry_Int_Tables_number 1
_cell_length_a 8.701
_cell_length_b 8.701
_cell_length_c 8.701
_cell_angle_alpha 55.17
_cell_angle_beta 55.17
_cell_angle_gamma 55.17
loop_
_symmetry_equiv_pos_as_xyz
'x,y,z'
loop_
_atom_site_label
_atom_site_fract_x
_atom_site_fract_y
_atom_site_fract_z
K1 0.000 0.000 0.000
K2 0.000 0.500 0.500
K3 0.500 0.000 0.500
K4 0.500 0.500 0.000
Er1 0.000 0.000 0.500
Er2 0.000 0.500 0.000
Er3 0.500 0.000 0.000
Sn1 0.500 0.500 0.500
S1 0.231 0.734 0.734
S2 0.234 0.234 0.234
S3 0.266 0.266 0.769
S4 0.266 0.769 0.266
S5 0.734 0.231 0.734
S6 0.734 0.734 0.231
S7 0.766 0.766 0.766
S8 0.769 0.266 0.266
```

Top 12 peaks for 2θ from 15° to 90°, in order of rising 2θ:
d (Å)	I/Imax
3.676	17
3.447	25
3.327	34
2.949	100
2.339	20
2.163	35
2.015	34
1.943	17
1.767	14
1.739	14
1.663	17
1.283	18



Record 3
# Pm4OsRh
Theoretical X-ray diffraction stick pattern, copper Kα. Input: a DFT-relaxed cell (PBE, Alexandria).

Crystal structure
```
data_Pm4OsRh
_symmetry_space_group_name_H-M 'P 1'
_symmetry_Int_Tables_number 1
_cell_length_a 7.886
_cell_length_b 7.886
_cell_length_c 7.886
_cell_angle_alpha 106.98
_cell_angle_beta 106.98
_cell_angle_gamma 114.57
loop_
_symmetry_equiv_pos_as_xyz
'x,y,z'
loop_
_atom_site_label
_atom_site_fract_x
_atom_site_fract_y
_atom_site_fract_z
Pm1 0.192 0.494 0.698
Pm2 0.244 0.046 0.802
Pm3 0.244 0.442 0.198
Pm4 0.300 0.000 0.300
Pm5 0.700 0.000 0.700
Pm6 0.750 0.550 0.800
Pm7 0.750 0.950 0.200
Pm8 0.796 0.494 0.302
Os1 0.749 0.249 0.500
Os2 0.999 0.999 0.000
Rh1 0.247 0.747 0.500
Rh2 0.497 0.497 0.000
```

Top 12 peaks for 2θ from 15° to 90°, in order of rising 2θ:
d (Å)	I/Imax
4.692	59
3.155	100
2.967	34
2.435	69
2.346	35
2.131	23
1.963	56
1.882	17
1.731	14
1.609	14
1.577	21
1.184	21



Record 4
# NaNpGeO5
Theoretical X-ray diffraction stick pattern, copper Kα. Input: a DFT-relaxed cell (PBE, Alexandria).

Crystal structure
```
data_NaNpGeO5
_symmetry_space_group_name_H-M 'P 1'
_symmetry_Int_Tables_number 1
_cell_length_a 5.906
_cell_length_b 5.906
_cell_length_c 7.886
_cell_angle_alpha 104.63
_cell_angle_beta 104.63
_cell_angle_gamma 104.86
loop_
_symmetry_equiv_pos_as_xyz
'x,y,z'
loop_
_atom_site_label
_atom_site_fract_x
_atom_site_fract_y
_atom_site_fract_z
Na1 0.169 0.831 0.750
Na2 0.831 0.169 0.250
Np1 0.500 0.500 0.000
Np2 0.500 0.500 0.500
Ge1 0.180 0.820 0.250
Ge2 0.820 0.180 0.750
O1 0.125 0.246 0.905
O2 0.189 0.612 0.378
O3 0.246 0.125 0.405
O4 0.388 0.811 0.122
O5 0.425 0.575 0.750
O6 0.575 0.425 0.250
O7 0.612 0.189 0.878
O8 0.754 0.875 0.595
O9 0.811 0.388 0.622
O10 0.875 0.754 0.095
```

Top 12 peaks for 2θ from 15° to 90°, in order of rising 2θ:
d (Å)	I/Imax
5.369	100
4.681	29
3.600	94
3.277	46
2.848	50
2.818	52
2.618	24
2.603	22
2.277	22
1.906	17
1.867	17
1.790	18